Structure and computed powder diffraction line list of LiLuW2O8 (DFT lattice parameters and positions (GGA+U); CuKα).
Lines closer than 0.1° are merged.

Principal peaks in the range 15 to 90 degrees two-theta, in order of rising 2θ:
2θ/deg  I/Imax
23.5  58
29.0  100
29.8  92
35.1  42
35.4  37
49.8  30

Structure:
```
data_LiLuW2O8
_chemical_formula_sum 'Li2 Lu2 W4 O16'
_symmetry_space_group_name_H-M 'P 1 2/c 1'
_symmetry_Int_Tables_number 13
_symmetry_space_group_name_Hall '-P 2yc'
_cell_length_a 5.081
_cell_length_b 5.911
_cell_length_c 10.953
_cell_angle_alpha 90.00
_cell_angle_beta 115.71
_cell_angle_gamma 90.00
loop_
_atom_site_label
_atom_site_type_symbol
_atom_site_fract_x
_atom_site_fract_y
_atom_site_fract_z
Li1 Li 0.000 0.215 0.250
Lu1 Lu 0.500 0.166 0.750
W1 W 0.262 0.328 0.008
O1 O 0.165 0.390 0.601
O2 O 0.236 0.130 0.131
O3 O 0.275 0.135 0.880
O4 O 0.335 0.402 0.392
```